(1)
This entry pairs a crystal structure of Ho2In2Pd3 with its calculated XRD peak list. Radiation: Cu Kα, 1.54184 Å. Structure: a DFT-relaxed cell (PBE, Alexandria).
No peak broadening, texture or thermal motion is included.

Structural model:
```
data_Ho2In2Pd3
_chemical_formula_sum 'Ho2 In2 Pd3'
_cell_length_a 4.8965
_cell_length_b 4.9046
_cell_length_c 7.7657
_cell_angle_alpha 107.95
_cell_angle_beta 90.35
_cell_angle_gamma 119.82
_symmetry_space_group_name_H-M 'P -1'
_symmetry_Int_Tables_number 2
loop_
_symmetry_equiv_pos_as_xyz
'x,y,z'
'-x,-y,-z'
loop_
_atom_site_label
_atom_site_type_symbol
_atom_site_fract_x
_atom_site_fract_y
_atom_site_fract_z
_atom_site_occupancy
Ho1 Ho 0.1136 0.2306 0.3430 1
In1 In 0.3705 0.7454 0.1140 1
Pd1 Pd 0.2487 0.4899 0.7407 1
Pd2 Pd 0.5000 0.0000 0.5000 1
```

Top 12 peaks for 2θ = 5–70°, sorted by position:
two_theta  d_spacing  I/Imax  index
12.2  7.249  14  0 0 1
26.6  3.351  14  -1 1 1
36.6  2.455  100  1 1 -1
36.7  2.448  50  2 -1 0
39.2  2.298  37  0 1 2
39.3  2.291  36  1 0 -3
39.5  2.280  36  1 -1 3
54.7  1.679  14  -2 2 2
54.9  1.673  14  2 0 2
55.0  1.670  13  0 2 -4
67.5  1.388  15  -1 3 1
68.1  1.376  14  3 -2 3


(2)
This entry pairs a crystal structure of HoInPd3 with its calculated XRD peak list. Radiation: Cu Kα, 1.54184 Å. Structure: a DFT-relaxed cell (PBE, Alexandria).
No peak broadening, texture or thermal motion is included.

Structural model:
```
data_HoInPd3
_chemical_formula_sum 'Ho4 In4 Pd12'
_cell_length_a 8.1428
_cell_length_b 7.4351
_cell_length_c 6.5642
_cell_angle_alpha 90.00
_cell_angle_beta 90.00
_cell_angle_gamma 90.00
_symmetry_space_group_name_H-M 'P n m a'
_symmetry_Int_Tables_number 62
loop_
_symmetry_equiv_pos_as_xyz
'x,y,z'
'-x,-y,-z'
'-x+1/2,-y,z+1/2'
'x+1/2,y,-z+1/2'
'x+1/2,-y+1/2,-z+1/2'
'-x+1/2,y+1/2,z+1/2'
'-x,y+1/2,-z'
'x,-y+1/2,z'
loop_
_atom_site_label
_atom_site_type_symbol
_atom_site_fract_x
_atom_site_fract_y
_atom_site_fract_z
_atom_site_occupancy
Ho1 Ho 0.1247 0.2500 0.0639 1
In1 In 0.0000 0.0000 0.5000 1
Pd1 Pd 0.1366 0.7500 0.2179 1
Pd2 Pd 0.1827 0.5599 0.8446 1
```

Top 12 peaks for 2θ = 5–70°, sorted by position:
two_theta  d_spacing  I/Imax  index
29.7  3.006  91  1 2 1
35.1  2.555  25  2 0 2
35.4  2.533  100  2 2 1
35.8  2.508  87  3 0 1
37.2  2.416  67  2 1 2
38.2  2.355  71  1 2 2
38.8  2.319  23  0 3 1
40.5  2.230  35  1 3 1
42.8  2.115  34  2 3 0
43.1  2.099  27  0 1 3
44.6  2.033  24  4 0 0
51.2  1.786  32  4 2 0


(3)
This entry pairs a crystal structure of Ho3In2Pd6 with its calculated XRD peak list. Radiation: Cu Kα, 1.54184 Å. Structure: a DFT-relaxed cell (PBE, Alexandria).
No peak broadening, texture or thermal motion is included.

Structural model:
```
data_Ho3In2Pd6
_chemical_formula_sum 'Ho12 In8 Pd24'
_cell_length_a 9.6645
_cell_length_b 9.6645
_cell_length_c 9.6645
_cell_angle_alpha 90.00
_cell_angle_beta 90.00
_cell_angle_gamma 90.00
_symmetry_space_group_name_H-M 'I m -3 m'
_symmetry_Int_Tables_number 229
_symmetry_space_group_name_Hall '-I 4 2 3'
loop_
_atom_site_label
_atom_site_type_symbol
_atom_site_fract_x
_atom_site_fract_y
_atom_site_fract_z
_atom_site_occupancy
Ho1 Ho 0.0000 0.0000 0.2945 1
In1 In 0.2500 0.2500 0.2500 1
Pd1 Pd 0.0000 0.3449 0.3449 1
```

Top 12 peaks for 2θ = 5–70°, sorted by position:
two_theta  d_spacing  I/Imax  index
13.0  6.834  15  1 1 0
29.2  3.056  17  3 1 0
32.1  2.790  31  2 2 2
34.7  2.583  22  3 2 1
37.2  2.416  14  4 0 0
39.6  2.278  100  3 3 0
41.8  2.161  15  4 2 0
51.8  1.764  11  5 2 1
55.4  1.657  7  5 3 0
57.2  1.611  7  6 0 0
58.9  1.568  11  5 3 2
63.9  1.457  15  6 2 2


(4)
This entry pairs a crystal structure of Ho2In5Pd12 with its calculated XRD peak list. Radiation: Cu Kα, 1.54184 Å. Structure: a DFT-relaxed cell (PBE, Alexandria).
No peak broadening, texture or thermal motion is included.

Structural model:
```
data_Ho2In5Pd12
_chemical_formula_sum 'Ho4 In10 Pd24'
_cell_length_a 13.0016
_cell_length_b 8.3138
_cell_length_c 6.6444
_cell_angle_alpha 90.00
_cell_angle_beta 93.58
_cell_angle_gamma 90.00
_symmetry_space_group_name_H-M 'C 1 2/m 1'
_symmetry_Int_Tables_number 12
loop_
_symmetry_equiv_pos_as_xyz
'x,y,z'
'-x,-y,-z'
'-x,y,-z'
'x,-y,z'
'x+1/2,y+1/2,z'
'-x+1/2,-y+1/2,-z'
'-x+1/2,y+1/2,-z'
'x+1/2,-y+1/2,z'
loop_
_atom_site_label
_atom_site_type_symbol
_atom_site_fract_x
_atom_site_fract_y
_atom_site_fract_z
_atom_site_occupancy
Ho1 Ho 0.0000 0.2239 0.0000 1
In1 In 0.0000 0.0000 0.5000 1
In2 In 0.1606 0.5000 0.1114 1
In3 In 0.2280 0.0000 0.4781 1
Pd1 Pd 0.0451 0.5000 0.7482 1
Pd2 Pd 0.1031 0.2891 0.4272 1
Pd3 Pd 0.1292 0.0000 0.8383 1
Pd4 Pd 0.2250 0.2993 0.8094 1
```

Top 12 peaks for 2θ = 5–70°, sorted by position:
two_theta  d_spacing  I/Imax  index
30.2  2.958  15  1 1 2
31.0  2.880  16  2 0 2
35.6  2.520  28  1 3 -1
36.7  2.447  14  2 2 -2
37.0  2.427  100  4 2 -1
38.0  2.368  46  2 2 2
39.6  2.277  29  5 1 1
42.4  2.133  26  2 0 -3
43.4  2.085  19  1 3 2
43.5  2.078  27  0 4 0
44.3  2.044  14  5 1 -2
44.9  2.019  13  6 0 1


(5)
This entry pairs a crystal structure of Ho2InSi2Pd5 with its calculated XRD peak list. Radiation: Cu Kα, 1.54184 Å. Structure: a DFT-relaxed cell (PBE, Alexandria).
No peak broadening, texture or thermal motion is included.

Structural model:
```
data_Ho2InSi2Pd5
_chemical_formula_sum 'Ho4 In2 Si4 Pd10'
_cell_length_a 10.0353
_cell_length_b 10.0353
_cell_length_c 3.5852
_cell_angle_alpha 90.00
_cell_angle_beta 90.00
_cell_angle_gamma 90.00
_symmetry_space_group_name_H-M 'P 4/m b m'
_symmetry_Int_Tables_number 127
_symmetry_space_group_name_Hall '-P 4 2ab'
loop_
_atom_site_label
_atom_site_type_symbol
_atom_site_fract_x
_atom_site_fract_y
_atom_site_fract_z
_atom_site_occupancy
Ho1 Ho 0.1763 0.3237 0.0000 1
In1 In 0.0000 0.0000 0.0000 1
Si1 Si 0.1229 0.6229 0.0000 1
Pd1 Pd 0.0000 0.5000 0.5000 1
Pd2 Pd 0.0606 0.7833 0.5000 1
```

Top 12 peaks for 2θ = 5–70°, sorted by position:
two_theta  d_spacing  I/Imax  index
32.0  2.801  60  2 1 1
35.6  2.522  41  2 2 1
36.9  2.434  67  4 1 0
37.9  2.376  100  3 1 1
38.0  2.365  19  3 3 0
40.2  2.244  24  4 2 0
41.1  2.199  27  3 2 1
44.1  2.056  11  4 0 1
50.9  1.793  23  0 0 2
61.1  1.516  13  6 0 1
64.6  1.443  26  4 1 2
64.9  1.436  19  5 4 1


(6)
This entry pairs a crystal structure of Pm4HoIn with its calculated XRD peak list. Radiation: Cu Kα, 1.54184 Å. Structure: a DFT-relaxed cell (PBE, Alexandria).
No peak broadening, texture or thermal motion is included.

Structural model:
```
data_Pm4HoIn
_chemical_formula_sum 'Pm16 Ho4 In4'
_cell_length_a 3.5845
_cell_length_b 30.9172
_cell_length_c 6.9040
_cell_angle_alpha 90.00
_cell_angle_beta 90.00
_cell_angle_gamma 90.00
_symmetry_space_group_name_H-M 'C m c m'
_symmetry_Int_Tables_number 63
_symmetry_space_group_name_Hall '-C 2c 2'
loop_
_atom_site_label
_atom_site_type_symbol
_atom_site_fract_x
_atom_site_fract_y
_atom_site_fract_z
_atom_site_occupancy
Pm1 Pm 0.0000 0.0000 0.0000 1
Pm2 Pm 0.0000 0.1589 0.0058 1
Pm3 Pm 0.0000 0.4181 0.2500 1
Ho1 Ho 0.0000 0.2570 0.2500 1
In1 In 0.0000 0.4206 0.7500 1
```

Top 12 peaks for 2θ = 5–70°, sorted by position:
two_theta  d_spacing  I/Imax  index
28.2  3.165  13  1 1 1
28.8  3.100  31  1 5 0
31.2  2.868  100  0 6 2
32.2  2.783  56  1 7 0
34.8  2.577  40  0 12 0
36.2  2.478  57  1 1 2
51.0  1.792  13  2 0 0
53.3  1.719  35  1 13 2
61.0  1.520  29  2 6 2
62.7  1.482  13  1 19 0
63.2  1.471  12  2 12 0
63.4  1.467  16  1 7 4


(7)
This entry pairs a crystal structure of PmHo6In6 with its calculated XRD peak list. Radiation: Cu Kα, 1.54184 Å. Structure: a DFT-relaxed cell (PBE, Alexandria).
No peak broadening, texture or thermal motion is included.

Structural model:
```
data_PmHo6In6
_chemical_formula_sum 'Pm1 Ho6 In6'
_cell_length_a 6.2397
_cell_length_b 6.2397
_cell_length_c 10.7426
_cell_angle_alpha 90.00
_cell_angle_beta 90.00
_cell_angle_gamma 120.00
_symmetry_space_group_name_H-M 'P 6/m m m'
_symmetry_Int_Tables_number 191
_symmetry_space_group_name_Hall '-P 6 2'
loop_
_atom_site_label
_atom_site_type_symbol
_atom_site_fract_x
_atom_site_fract_y
_atom_site_fract_z
_atom_site_occupancy
Pm1 Pm 0.0000 0.0000 0.0000 1
Ho1 Ho 0.0000 0.0000 0.3401 1
Ho2 Ho 0.3333 0.6667 0.0000 1
Ho3 Ho 0.3333 0.6667 0.5000 1
In1 In 0.0000 0.5000 0.2456 1
```

Top 12 peaks for 2θ = 5–70°, sorted by position:
two_theta  d_spacing  I/Imax  index
28.6  3.120  50  1 1 0
29.9  2.985  27  1 0 3
33.2  2.699  100  1 1 2
33.4  2.686  24  0 0 4
37.3  2.414  65  2 0 2
37.4  2.405  24  1 0 4
38.3  2.352  14  1 1 3
53.7  1.708  18  3 0 2
56.6  1.626  14  2 1 4
59.2  1.560  27  2 2 0
59.5  1.553  29  1 1 6
69.7  1.349  16  2 2 4


(8)
This entry pairs a crystal structure of Pm2Ho4In with its calculated XRD peak list. Radiation: Cu Kα, 1.54184 Å. Structure: a DFT-relaxed cell (PBE, Alexandria).
No peak broadening, texture or thermal motion is included.

Structural model:
```
data_Pm2Ho4In
_chemical_formula_sum 'Pm4 Ho8 In2'
_cell_length_a 6.4895
_cell_length_b 6.2619
_cell_length_c 10.7026
_cell_angle_alpha 90.00
_cell_angle_beta 90.00
_cell_angle_gamma 90.00
_symmetry_space_group_name_H-M 'P m n a'
_symmetry_Int_Tables_number 53
loop_
_symmetry_equiv_pos_as_xyz
'x,y,z'
'-x,-y,-z'
'-x+1/2,-y,z+1/2'
'x+1/2,y,-z+1/2'
'x,-y,-z'
'-x,y,z'
'-x+1/2,y,-z+1/2'
'x+1/2,-y,z+1/2'
loop_
_atom_site_label
_atom_site_type_symbol
_atom_site_fract_x
_atom_site_fract_y
_atom_site_fract_z
_atom_site_occupancy
Pm1 Pm 0.0000 0.2441 0.0423 1
Ho1 Ho 0.0000 0.0681 0.3456 1
Ho2 Ho 0.2500 0.4017 0.7500 1
In1 In 0.0000 0.5000 0.5000 1
```

Top 12 peaks for 2θ = 5–70°, sorted by position:
two_theta  d_spacing  I/Imax  index
28.5  3.127  39  1 0 3
28.8  3.100  40  0 1 3
29.7  3.005  53  0 2 1
31.0  2.881  37  2 1 0
32.0  2.797  56  1 1 3
32.2  2.778  100  2 0 2
32.8  2.727  83  1 2 1
35.4  2.537  58  2 1 2
36.5  2.460  41  0 1 4
39.2  2.301  23  1 1 4
52.1  1.756  23  3 2 1
56.7  1.623  26  4 0 0


(9)
This entry pairs a crystal structure of PmHo4In with its calculated XRD peak list. Radiation: Cu Kα, 1.54184 Å. Structure: a DFT-relaxed cell (PBE, Alexandria).
No peak broadening, texture or thermal motion is included.

Structural model:
```
data_PmHo4In
_chemical_formula_sum 'Pm2 Ho8 In2'
_cell_length_a 5.4860
_cell_length_b 6.8199
_cell_length_c 9.6254
_cell_angle_alpha 90.00
_cell_angle_beta 90.00
_cell_angle_gamma 90.00
_symmetry_space_group_name_H-M 'P m m n'
_symmetry_Int_Tables_number 59
loop_
_symmetry_equiv_pos_as_xyz
'x,y,z'
'-x,-y,-z'
'-x+1/2,-y+1/2,z'
'x+1/2,y+1/2,-z'
'x+1/2,-y,-z'
'-x+1/2,y,z'
'-x,y+1/2,-z'
'x,-y+1/2,z'
loop_
_atom_site_label
_atom_site_type_symbol
_atom_site_fract_x
_atom_site_fract_y
_atom_site_fract_z
_atom_site_occupancy
Pm1 Pm 0.2500 0.2500 0.0728 1
Ho1 Ho 0.2500 0.2500 0.4189 1
Ho2 Ho 0.2500 0.5044 0.7438 1
Ho3 Ho 0.2500 0.7500 0.1107 1
In1 In 0.2500 0.7500 0.4305 1
```

Top 12 peaks for 2θ = 5–70°, sorted by position:
two_theta  d_spacing  I/Imax  index
32.2  2.782  24  0 2 2
32.3  2.771  100  1 0 3
32.6  2.743  26  2 0 0
46.2  1.966  9  0 2 4
46.5  1.953  17  2 2 2
53.8  1.705  6  0 4 0
57.5  1.604  12  0 0 6
57.7  1.598  9  2 2 4
58.0  1.589  19  3 0 3
64.1  1.452  14  1 4 3
64.3  1.448  7  2 4 0
67.7  1.385  5  2 0 6


(10)
This entry pairs a crystal structure of Pm3Ho2In2 with its calculated XRD peak list. Radiation: Cu Kα, 1.54184 Å. Structure: a DFT-relaxed cell (PBE, Alexandria).
No peak broadening, texture or thermal motion is included.

Structural model:
```
data_Pm3Ho2In2
_chemical_formula_sum 'Pm6 Ho4 In4'
_cell_length_a 4.9531
_cell_length_b 24.0019
_cell_length_c 3.5066
_cell_angle_alpha 90.00
_cell_angle_beta 90.00
_cell_angle_gamma 90.00
_symmetry_space_group_name_H-M 'C m m m'
_symmetry_Int_Tables_number 65
_symmetry_space_group_name_Hall '-C 2 2'
loop_
_atom_site_label
_atom_site_type_symbol
_atom_site_fract_x
_atom_site_fract_y
_atom_site_fract_z
_atom_site_occupancy
Pm1 Pm 0.0000 0.0000 0.0000 1
Pm2 Pm 0.0000 0.1420 0.0000 1
Ho1 Ho 0.0000 0.2875 0.5000 1
In1 In 0.0000 0.4286 0.5000 1
```

Top 12 peaks for 2θ = 5–70°, sorted by position:
two_theta  d_spacing  I/Imax  index
31.5  2.842  78  1 1 1
31.7  2.819  100  1 7 0
33.2  2.695  13  1 3 1
34.0  2.637  29  0 6 1
36.3  2.477  35  2 0 0
39.5  2.280  23  0 8 1
50.6  1.805  18  2 6 1
52.2  1.753  12  0 0 2
54.7  1.677  18  2 8 1
62.3  1.489  39  1 7 2
62.4  1.488  14  3 7 0
65.2  1.431  13  2 0 2


(11)
This entry pairs a crystal structure of PmHo15In4 with its calculated XRD peak list. Radiation: Cu Kα, 1.54184 Å. Structure: a DFT-relaxed cell (PBE, Alexandria).
No peak broadening, texture or thermal motion is included.

Structural model:
```
data_PmHo15In4
_chemical_formula_sum 'Pm1 Ho15 In4'
_cell_length_a 4.8377
_cell_length_b 4.8377
_cell_length_c 24.6299
_cell_angle_alpha 90.00
_cell_angle_beta 90.00
_cell_angle_gamma 90.00
_symmetry_space_group_name_H-M 'P 4/m m m'
_symmetry_Int_Tables_number 123
_symmetry_space_group_name_Hall '-P 4 2'
loop_
_atom_site_label
_atom_site_type_symbol
_atom_site_fract_x
_atom_site_fract_y
_atom_site_fract_z
_atom_site_occupancy
Pm1 Pm 0.0000 0.0000 0.0000 1
Ho1 Ho 0.0000 0.5000 0.1062 1
Ho2 Ho 0.0000 0.5000 0.3038 1
Ho3 Ho 0.0000 0.5000 0.5000 1
Ho4 Ho 0.5000 0.5000 0.0000 1
Ho5 Ho 0.5000 0.5000 0.2060 1
Ho6 Ho 0.5000 0.5000 0.4022 1
In1 In 0.0000 0.0000 0.2068 1
In2 In 0.0000 0.0000 0.4022 1
```

Top 12 peaks for 2θ = 5–70°, sorted by position:
two_theta  d_spacing  I/Imax  index
18.3  4.838  1  1 0 0
31.8  2.810  100  1 1 5
34.1  2.628  1  1 1 6
36.5  2.463  16  0 0 10
37.2  2.419  34  2 0 0
53.1  1.726  22  2 0 10
53.6  1.710  12  2 2 0
56.0  1.643  1  2 0 11
59.0  1.565  1  1 1 14
62.8  1.480  12  1 1 15
63.7  1.461  27  3 1 5
66.6  1.405  12  2 2 10


(12)
This entry pairs a crystal structure of Pm5Ho5In2 with its calculated XRD peak list. Radiation: Cu Kα, 1.54184 Å. Structure: a DFT-relaxed cell (PBE, Alexandria).
No peak broadening, texture or thermal motion is included.

Structural model:
```
data_Pm5Ho5In2
_chemical_formula_sum 'Pm10 Ho10 In4'
_cell_length_a 11.3958
_cell_length_b 5.3272
_cell_length_c 12.5529
_cell_angle_alpha 90.00
_cell_angle_beta 92.23
_cell_angle_gamma 90.00
_symmetry_space_group_name_H-M 'C 1 2/m 1'
_symmetry_Int_Tables_number 12
loop_
_symmetry_equiv_pos_as_xyz
'x,y,z'
'-x,-y,-z'
'-x,y,-z'
'x,-y,z'
'x+1/2,y+1/2,z'
'-x+1/2,-y+1/2,-z'
'-x+1/2,y+1/2,-z'
'x+1/2,-y+1/2,z'
loop_
_atom_site_label
_atom_site_type_symbol
_atom_site_fract_x
_atom_site_fract_y
_atom_site_fract_z
_atom_site_occupancy
Pm1 Pm 0.0000 0.0000 0.0000 1
Pm2 Pm 0.0758 0.5000 0.8092 1
Pm3 Pm 0.1573 0.5000 0.5024 1
Ho1 Ho 0.0000 0.0000 0.5000 1
Ho2 Ho 0.1330 0.0000 0.2635 1
Ho3 Ho 0.2030 0.5000 0.0767 1
In1 In 0.1739 0.0000 0.6967 1
```

Top 12 peaks for 2θ = 5–70°, sorted by position:
two_theta  d_spacing  I/Imax  index
28.5  3.135  79  1 1 3
29.5  3.024  18  3 1 -1
30.0  2.980  17  3 1 1
31.9  2.808  100  3 1 -2
32.7  2.739  33  3 1 2
33.6  2.664  59  0 2 0
34.4  2.610  32  1 1 4
35.1  2.555  24  4 0 2
38.7  2.329  15  2 0 -5
49.4  1.844  19  4 2 2
52.2  1.754  17  2 2 -5
59.1  1.564  17  3 3 -2